Structure and theoretical X-ray diffraction stick pattern of La3Pa (a DFT-relaxed cell (GGA-PBE, Alexandria); copper Kα).

Most intense lines, 2θ from 5° to 70°, by intensity:
(0 1 2), 31.96°, d 2.800, intensity 100; (1 1 1), 33.27°, d 2.693, intensity 93; (1 0 1), 29.33°, d 3.045, intensity 66; (0 2 0), 30.99°, d 2.886, intensity 56; (1 2 1), 43.19°, d 2.095, intensity 46; (2 0 0), 52.85°, d 1.732, intensity 37

Atomic structure:
a b c (Å): 3.4610 5.7721 6.4049
angles (deg): 90.00 90.00 90.00
Sites, in units of the cell vectors:
La  0.0000  0.0000  0.0000
La  0.0000  0.5000  0.2647
La  0.5000  0.5000  0.7228
Pa  0.5000  0.0000  0.4916

---

Structure and theoretical X-ray diffraction stick pattern of La3Pa (a DFT-relaxed cell (GGA-PBE, Alexandria); copper Kα).

Most intense lines, 2θ from 5° to 70°, by intensity:
(1 1 1), 30.91°, d 2.893, intensity 100; (2 0 0), 35.84°, d 2.505, intensity 51; (3 1 1), 61.37°, d 1.511, intensity 43; (2 2 0), 51.59°, d 1.772, intensity 36; (2 2 2), 64.41°, d 1.446, intensity 12; (1 0 0), 17.70°, d 5.011, intensity 5

Atomic structure:
a b c (Å): 5.0106 5.0106 5.0106
angles (deg): 90.00 90.00 90.00
Sites, in units of the cell vectors:
La  0.0000  0.0000  0.5000
La  0.0000  0.5000  0.0000
La  0.5000  0.0000  0.0000
Pa  0.5000  0.5000  0.5000